Tm4C2Se5: calculated powder diffractogram (λ = 1.5418 Å (Cu Kα)), based on the GGA-PBE geometry in Alexandria.
Lines closer than 0.1° are merged.

Largest 8 diffraction maxima, by angle, 10° ≤ 2θ ≤ 90°:
| 2θ/deg | I (rel.) |
| --- | --- |
| 11.72 | 22 |
| 17.66 | 29 |
| 30.90 | 50 |
| 32.00 | 100 |
| 43.79 | 39 |
| 45.63 | 19 |
| 46.34 | 30 |
| 56.12 | 18 |

```
Tm4C2Se5
1.0
9.072 -1.988 0.000
9.072 1.988 0.000
-2.287 0.000 7.551
Tm C Se
4 2 5
Direct
0.002 0.002 0.254 Tm
0.322 0.322 0.388 Tm
0.678 0.678 0.612 Tm
0.998 0.998 0.746 Tm
0.464 0.464 0.491 C
0.536 0.536 0.509 C
0.154 0.154 0.835 Se
0.162 0.162 0.345 Se
0.500 0.500 0.000 Se
0.838 0.838 0.655 Se
0.846 0.846 0.165 Se
```


La2CN6: calculated powder diffractogram (λ = 1.5418 Å (Cu Kα)), based on the GGA-PBE geometry in Alexandria.
Lines closer than 0.1° are merged.

Largest 8 diffraction maxima, by angle, 10° ≤ 2θ ≤ 90°:
| 2θ/deg | I (rel.) |
| --- | --- |
| 13.53 | 100 |
| 24.74 | 32 |
| 25.77 | 20 |
| 27.26 | 26 |
| 29.08 | 14 |
| 29.34 | 16 |
| 33.80 | 14 |
| 38.09 | 16 |

```
La2CN6
1.0
3.481 0.000 0.000
0.424 3.605 0.000
0.224 0.729 13.087
La C N
2 1 6
Direct
0.023 0.416 0.267 La
0.977 0.584 0.733 La
0.500 0.500 0.500 C
0.008 0.482 0.043 N
0.472 0.077 0.775 N
0.492 0.564 0.591 N
0.508 0.436 0.409 N
0.528 0.923 0.225 N
0.992 0.518 0.957 N
```


Ba8As2Pt: calculated powder diffractogram (λ = 1.5418 Å (Cu Kα)), based on the GGA-PBE geometry in Alexandria.
Lines closer than 0.1° are merged.

Largest 8 diffraction maxima, by angle, 10° ≤ 2θ ≤ 90°:
| 2θ/deg | I (rel.) |
| --- | --- |
| 23.07 | 62 |
| 26.90 | 100 |
| 27.08 | 37 |
| 29.59 | 26 |
| 30.68 | 22 |
| 35.77 | 21 |
| 37.99 | 42 |
| 42.09 | 30 |

```
Ba8As2Pt
1.0
7.002 -5.021 0.000
7.002 5.021 0.000
-2.483 0.000 7.695
Ba As Pt
8 2 1
Direct
0.071 0.071 0.252 Ba
0.143 0.557 0.257 Ba
0.365 0.365 0.754 Ba
0.443 0.857 0.743 Ba
0.557 0.143 0.257 Ba
0.635 0.635 0.246 Ba
0.857 0.443 0.743 Ba
0.929 0.929 0.748 Ba
0.186 0.186 0.963 As
0.814 0.814 0.037 As
0.500 0.500 0.500 Pt
```


What is the formula in the second record? La2CN6


Please write out number 1 again, unchanged.
Tm4C2Se5: calculated powder diffractogram (λ = 1.5418 Å (Cu Kα)), based on the GGA-PBE geometry in Alexandria.
Lines closer than 0.1° are merged.

Largest 8 diffraction maxima, by angle, 10° ≤ 2θ ≤ 90°:
| 2θ/deg | I (rel.) |
| --- | --- |
| 11.72 | 22 |
| 17.66 | 29 |
| 30.90 | 50 |
| 32.00 | 100 |
| 43.79 | 39 |
| 45.63 | 19 |
| 46.34 | 30 |
| 56.12 | 18 |

```
Tm4C2Se5
1.0
9.072 -1.988 0.000
9.072 1.988 0.000
-2.287 0.000 7.551
Tm C Se
4 2 5
Direct
0.002 0.002 0.254 Tm
0.322 0.322 0.388 Tm
0.678 0.678 0.612 Tm
0.998 0.998 0.746 Tm
0.464 0.464 0.491 C
0.536 0.536 0.509 C
0.154 0.154 0.835 Se
0.162 0.162 0.345 Se
0.500 0.500 0.000 Se
0.838 0.838 0.655 Se
0.846 0.846 0.165 Se
```